(1)
Starting from a DFT-relaxed cell (PBE, the Materials Project), the X-ray powder pattern of CaSeO4 was simulated for Cu Kα (λ = 1.5418 Å).
Kinematic intensities with the Lorentz-polarization factor, no thermal factor.

The 6 most intense peaks (10° ≤ 2θ ≤ 80°), in order of rising 2θ:
2theta	d [Å]	I/Imax
18.89	4.699	22.2
28.87	3.092	100.0
29.91	2.987	15.1
46.78	1.942	29.0
52.46	1.744	16.9
59.23	1.560	23.7

Atomic structure:
Lattice parameters (Å, degrees): 6.9824 6.9824 6.9824 137.07 137.07 62.34
Positions (direct):
Ca  0.3750  0.1250  0.2500
Ca  0.6250  0.8750  0.7500
Se  0.1250  0.3750  0.7500
Se  0.8750  0.6250  0.2500
O  0.0690  0.2062  0.3746
O  0.1944  0.5690  0.3628
O  0.2938  0.1684  0.8628
O  0.3316  0.6944  0.1254
O  0.6684  0.3056  0.8746
O  0.7062  0.8316  0.1372
O  0.8056  0.4310  0.6372
O  0.9310  0.7938  0.6254

***

(2)
Starting from a DFT-relaxed cell (PBE, the Materials Project), the X-ray powder pattern of Ca9Si6O32 was simulated for Cu Kα (λ = 1.5418 Å).
Kinematic intensities with the Lorentz-polarization factor, no thermal factor.

The 6 most intense peaks (10° ≤ 2θ ≤ 80°), in order of rising 2θ:
2theta	d [Å]	I/Imax
26.66	3.343	86.1
27.63	3.228	88.7
28.04	3.182	72.6
31.45	2.845	80.6
31.63	2.829	100.0
49.30	1.848	83.3

Atomic structure:
Lattice parameters (Å, degrees): 7.3965 10.1348 10.6986 100.32 109.96 101.88
Positions (direct):
Ca  0.0000  0.0000  0.0000
Ca  0.1363  0.6472  0.9371
Ca  0.1886  0.6680  0.5732
Ca  0.2797  0.3537  0.4166
Ca  0.3512  0.3697  0.0492
Ca  0.6488  0.6303  0.9508
Ca  0.7203  0.6463  0.5834
Ca  0.8114  0.3320  0.4268
Ca  0.8637  0.3528  0.0629
Si  0.1636  0.3690  0.7127
Si  0.2670  0.6408  0.2870
Si  0.4252  0.1757  0.7797
Si  0.5748  0.8243  0.2203
Si  0.7330  0.3592  0.7130
Si  0.8364  0.6310  0.2873
O  0.0390  0.6788  0.7215
O  0.0511  0.2196  0.0065
O  0.0573  0.0668  0.2694
O  0.0779  0.6841  0.3171
O  0.1691  0.4319  0.5834
O  0.1952  0.5286  0.1382
O  0.2046  0.0758  0.3776
O  0.2276  0.2209  0.6956
O  0.3001  0.4744  0.8654
O  0.3147  0.9270  0.6061
O  0.3406  0.9907  0.7358
O  0.3545  0.1424  0.1543
O  0.3820  0.5913  0.4234
O  0.4077  0.7908  0.2862
O  0.4511  0.2517  0.2619
O  0.4935  0.7719  0.0564
O  0.5065  0.2281  0.9436
O  0.5489  0.7483  0.7381
O  0.5923  0.2092  0.7138
O  0.6180  0.4087  0.5766
O  0.6455  0.8576  0.8457
O  0.6594  0.0093  0.2642
O  0.6853  0.0730  0.3939
O  0.6999  0.5256  0.1346
O  0.7724  0.7791  0.3044
O  0.7954  0.9242  0.6224
O  0.8048  0.4714  0.8618
O  0.8309  0.5681  0.4166
O  0.9221  0.3159  0.6829
O  0.9427  0.9332  0.7306
O  0.9489  0.7804  0.9935
O  0.9610  0.3212  0.2785

***

(3)
Starting from a DFT-relaxed cell (PBE, the Materials Project), the X-ray powder pattern of CaSi2O5 was simulated for Cu Kα (λ = 1.5418 Å).
Kinematic intensities with the Lorentz-polarization factor, no thermal factor.

The 6 most intense peaks (10° ≤ 2θ ≤ 80°), in order of rising 2θ:
2theta	d [Å]	I/Imax
29.07	3.072	100.0
29.46	3.032	48.1
29.55	3.023	61.6
32.90	2.722	18.2
33.94	2.641	40.9
35.74	2.512	59.1

Atomic structure:
Lattice parameters (Å, degrees): 6.6268 7.3133 7.6278 69.51 81.41 84.86
Positions (direct):
Ca  0.1102  0.0288  0.2137
Ca  0.3162  0.4581  0.3210
Ca  0.6838  0.5419  0.6790
Ca  0.8898  0.9712  0.7863
Si  0.0000  0.5000  0.0000
Si  0.1607  0.6837  0.5794
Si  0.3020  0.2471  0.7794
Si  0.3741  0.8014  0.9298
Si  0.5000  0.0000  0.5000
Si  0.6259  0.1986  0.0702
Si  0.6980  0.7529  0.2206
Si  0.8393  0.3163  0.4206
O  0.0239  0.3476  0.2417
O  0.0738  0.6994  0.3876
O  0.1208  0.3047  0.9346
O  0.2187  0.9962  0.9024
O  0.2512  0.8997  0.5398
O  0.2520  0.6011  0.9864
O  0.3274  0.4982  0.6345
O  0.3845  0.1900  0.5815
O  0.4498  0.1576  0.2557
O  0.4784  0.7734  0.1225
O  0.5216  0.2266  0.8775
O  0.5502  0.8424  0.7443
O  0.6155  0.8100  0.4185
O  0.6726  0.5018  0.3655
O  0.7480  0.3989  0.0136
O  0.7488  0.1003  0.4602
O  0.7813  0.0038  0.0976
O  0.8792  0.6953  0.0654
O  0.9262  0.3006  0.6124
O  0.9761  0.6524  0.7583

***

(4)
Starting from a DFT-relaxed cell (PBE, the Materials Project), the X-ray powder pattern of Ca3Si2O7 was simulated for Cu Kα (λ = 1.5418 Å).
Kinematic intensities with the Lorentz-polarization factor, no thermal factor.

The 6 most intense peaks (10° ≤ 2θ ≤ 80°), in order of rising 2θ:
2theta	d [Å]	I/Imax
22.97	3.872	57.8
27.82	3.207	92.1
29.43	3.035	63.3
30.47	2.934	76.5
32.68	2.740	100.0
34.35	2.611	73.4

Atomic structure:
Lattice parameters (Å, degrees): 7.9269 8.9941 10.6799 90.00 119.33 90.00
Positions (direct):
Ca  0.2076  0.0751  0.1688
Ca  0.2076  0.4249  0.6688
Ca  0.2864  0.0938  0.8428
Ca  0.2864  0.4062  0.3428
Ca  0.2902  0.5599  0.0084
Ca  0.2902  0.9401  0.5084
Ca  0.7098  0.0599  0.4916
Ca  0.7098  0.4401  0.9916
Ca  0.7136  0.5938  0.6572
Ca  0.7136  0.9062  0.1572
Ca  0.7924  0.5751  0.3312
Ca  0.7924  0.9249  0.8312
Si  0.0152  0.2156  0.4108
Si  0.0152  0.2844  0.9108
Si  0.4325  0.7335  0.2961
Si  0.4325  0.7665  0.7961
Si  0.5675  0.2335  0.2039
Si  0.5675  0.2665  0.7039
Si  0.9848  0.7156  0.0892
Si  0.9848  0.7844  0.5892
O  0.0270  0.1038  0.9014
O  0.0270  0.3962  0.4014
O  0.0616  0.1654  0.5726
O  0.0616  0.3346  0.0726
O  0.1571  0.1403  0.3589
O  0.1571  0.3597  0.8589
O  0.2104  0.6535  0.2030
O  0.2104  0.8465  0.7030
O  0.4202  0.6028  0.8567
O  0.4202  0.8972  0.3567
O  0.4516  0.1017  0.0891
O  0.4516  0.3983  0.5891
O  0.4906  0.2386  0.3207
O  0.4906  0.2614  0.8207
O  0.5094  0.7386  0.1793
O  0.5094  0.7614  0.6793
O  0.5484  0.6017  0.4109
O  0.5484  0.8983  0.9109
O  0.5798  0.1028  0.6433
O  0.5798  0.3972  0.1433
O  0.7896  0.1535  0.2970
O  0.7896  0.3465  0.7970
O  0.8429  0.6403  0.1411
O  0.8429  0.8597  0.6411
O  0.9384  0.6654  0.9274
O  0.9384  0.8346  0.4274
O  0.9730  0.6038  0.5986
O  0.9730  0.8962  0.0986

***

(5)
Starting from a DFT-relaxed cell (PBE, the Materials Project), the X-ray powder pattern of Ca3Si6O22 was simulated for Cu Kα (λ = 1.5418 Å).
Kinematic intensities with the Lorentz-polarization factor, no thermal factor.

The 6 most intense peaks (10° ≤ 2θ ≤ 80°), in order of rising 2θ:
2theta	d [Å]	I/Imax
15.83	5.599	52.0
23.05	3.858	50.3
26.39	3.378	100.0
26.85	3.320	66.8
27.09	3.292	50.4
31.97	2.800	55.2

Atomic structure:
Lattice parameters (Å, degrees): 7.3340 7.4912 10.0054 68.17 83.70 74.83
Positions (direct):
Ca  0.0000  0.0000  0.0000
Ca  0.0178  0.4543  0.9940
Ca  0.9290  0.6103  0.3044
Si  0.2908  0.4086  0.5182
Si  0.3071  0.2261  0.2860
Si  0.3311  0.7971  0.2888
Si  0.3948  0.2180  0.8470
Si  0.5827  0.3815  0.0191
Si  0.6198  0.7863  0.0316
O  0.0623  0.4738  0.5217
O  0.1069  0.3718  0.2191
O  0.1487  0.8028  0.2076
O  0.1840  0.8074  0.8064
O  0.1896  0.2057  0.9198
O  0.2951  0.8330  0.7032
O  0.3060  0.9939  0.3290
O  0.3583  0.2535  0.4312
O  0.3818  0.6027  0.4375
O  0.3950  0.2891  0.6732
O  0.4669  0.3834  0.8865
O  0.4812  0.2748  0.1699
O  0.5311  0.7790  0.1908
O  0.5496  0.0028  0.9060
O  0.5603  0.6189  0.9886
O  0.7457  0.8374  0.4363
O  0.7584  0.7708  0.5773
O  0.7775  0.2541  0.4938
O  0.8041  0.2752  0.0172
O  0.8488  0.7402  0.0448
O  0.8690  0.1571  0.6042
O  0.9245  0.7355  0.6264